Record 1
This entry pairs a crystal structure of Sm3Tm8Th3 with its calculated X-ray diffraction stick pattern. Radiation: Cu Kα X-rays. Structure: DFT lattice parameters and positions (PBE).
Neutral-atom scattering factors, no anomalous dispersion.

Principal peaks in the range 2θ from 10° to 90°, by angle:
- 2θ 29.27, 3.051 Å, intensity 20, hkl 1 2 3
- 2θ 29.97, 2.982 Å, intensity 31, hkl 1 1 4
- 2θ 30.89, 2.894 Å, intensity 24, hkl 0 3 3
- 2θ 32.03, 2.795 Å, intensity 50, hkl 2 0 0
- 2θ 32.15, 2.785 Å, intensity 100, hkl 1 3 2
- 2θ 34.02, 2.635 Å, intensity 45, hkl 1 0 5
- 2θ 45.10, 2.010 Å, intensity 17, hkl 2 3 3
- 2θ 57.16, 1.612 Å, intensity 20, hkl 3 3 2
- 2θ 61.84, 1.500 Å, intensity 13, hkl 2 6 0
- 2θ 63.05, 1.474 Å, intensity 15, hkl 1 6 5

Cell and atoms:
```
data_Sm3Tm8Th3
_symmetry_space_group_name_H-M 'I m m m'
_symmetry_Int_Tables_number 71
_symmetry_space_group_name_Hall '-I 2 2'
_cell_length_a 5.5893
_cell_length_b 10.6703
_cell_length_c 14.9413
_cell_angle_alpha 90.00
_cell_angle_beta 90.00
_cell_angle_gamma 90.00
loop_
_atom_site_label
_atom_site_type_symbol
_atom_site_fract_x
_atom_site_fract_y
_atom_site_fract_z
Sm1 Sm 0.0000 0.0000 0.0000
Sm2 Sm 0.0000 0.3068 0.0000
Tm1 Tm 0.0000 0.1580 0.2243
Tm2 Tm 0.0000 0.3413 0.3963
Th1 Th 0.0000 0.0000 0.5000
Th2 Th 0.0000 0.5000 0.1862
```

***

Record 2
This entry pairs a crystal structure of Tl5Hg2Au2 with its calculated X-ray diffraction stick pattern. Radiation: Cu Kα X-rays. Structure: DFT lattice parameters and positions (PBE).
Neutral-atom scattering factors, no anomalous dispersion.

Principal peaks in the range 2θ from 10° to 90°, by angle:
- 2θ 30.41, 2.940 Å, intensity 100, hkl 1 0 3
- 2θ 34.98, 2.565 Å, intensity 9, hkl 0 1 5
- 2θ 37.85, 2.377 Å, intensity 42, hkl 0 1 6
- 2θ 41.01, 2.201 Å, intensity 9, hkl 0 1 7
- 2θ 48.69, 1.870 Å, intensity 30, hkl 1 1 0
- 2θ 58.49, 1.578 Å, intensity 16, hkl 0 2 3
- 2θ 63.27, 1.470 Å, intensity 10, hkl 2 0 6
- 2θ 63.79, 1.459 Å, intensity 11, hkl 1 1 9
- 2θ 79.47, 1.206 Å, intensity 14, hkl 2 1 3
- 2θ 83.68, 1.156 Å, intensity 9, hkl 1 2 6

Cell and atoms:
```
data_Tl5Hg2Au2
_symmetry_space_group_name_H-M 'P -3 m 1'
_symmetry_Int_Tables_number 164
_symmetry_space_group_name_Hall '-P 3 2"'
_cell_length_a 3.7405
_cell_length_b 3.7405
_cell_length_c 20.9939
_cell_angle_alpha 90.00
_cell_angle_beta 90.00
_cell_angle_gamma 120.00
loop_
_atom_site_label
_atom_site_type_symbol
_atom_site_fract_x
_atom_site_fract_y
_atom_site_fract_z
Tl1 Tl 0.0000 0.0000 0.0000
Tl2 Tl 0.3333 0.6667 0.1960
Tl3 Tl 0.3333 0.6667 0.5641
Hg1 Hg 0.0000 0.0000 0.3168
Au1 Au 0.3333 0.6667 0.9005
```

***

Record 3
This entry pairs a crystal structure of Sc2CdAu4 with its calculated X-ray diffraction stick pattern. Radiation: Cu Kα X-rays. Structure: DFT lattice parameters and positions (PBE).
Neutral-atom scattering factors, no anomalous dispersion.

Principal peaks in the range 2θ from 10° to 90°, by angle:
- 2θ 27.61, 3.231 Å, intensity 39, hkl 1 0 4
- 2θ 30.62, 2.920 Å, intensity 11, hkl 0 1 5
- 2θ 37.38, 2.406 Å, intensity 100, hkl 1 1 0
- 2θ 37.59, 2.393 Å, intensity 75, hkl 1 0 7
- 2θ 41.43, 2.180 Å, intensity 10, hkl 0 1 8
- 2θ 54.03, 1.697 Å, intensity 38, hkl 0 2 7
- 2θ 67.44, 1.389 Å, intensity 24, hkl 3 0 0
- 2θ 67.56, 1.387 Å, intensity 27, hkl 2 1 7
- 2θ 79.75, 1.203 Å, intensity 20, hkl 2 2 0
- 2θ 81.05, 1.186 Å, intensity 11, hkl 1 1 15

Cell and atoms:
```
data_Sc2CdAu4
_symmetry_space_group_name_H-M 'R -3 m'
_symmetry_Int_Tables_number 166
_symmetry_space_group_name_Hall '-R 3 2"'
_cell_length_a 4.8119
_cell_length_b 4.8119
_cell_length_c 20.4576
_cell_angle_alpha 90.00
_cell_angle_beta 90.00
_cell_angle_gamma 120.00
loop_
_atom_site_label
_atom_site_type_symbol
_atom_site_fract_x
_atom_site_fract_y
_atom_site_fract_z
Sc1 Sc 0.0000 0.0000 0.2284
Cd1 Cd 0.0000 0.0000 0.5000
Au1 Au 0.0000 0.0000 0.0874
Au2 Au 0.0000 0.0000 0.3641
```

***

Record 4
This entry pairs a crystal structure of La2CoSn4 with its calculated X-ray diffraction stick pattern. Radiation: Cu Kα X-rays. Structure: DFT lattice parameters and positions (PBE).
Neutral-atom scattering factors, no anomalous dispersion.

Principal peaks in the range 2θ from 10° to 90°, by angle:
- 2θ 31.03, 2.882 Å, intensity 16, hkl 0 0 6
- 2θ 31.57, 2.834 Å, intensity 100, hkl 1 1 3
- 2θ 36.84, 2.440 Å, intensity 14, hkl 1 0 6
- 2θ 39.00, 2.309 Å, intensity 21, hkl 0 2 0
- 2θ 39.29, 2.293 Å, intensity 20, hkl 2 0 0
- 2θ 54.73, 1.677 Å, intensity 9, hkl 1 2 6
- 2θ 56.56, 1.627 Å, intensity 14, hkl 2 2 0
- 2θ 65.95, 1.416 Å, intensity 11, hkl 2 2 6
- 2θ 66.03, 1.415 Å, intensity 13, hkl 1 3 3
- 2θ 66.44, 1.407 Å, intensity 13, hkl 3 1 3

Cell and atoms:
```
data_La2CoSn4
_symmetry_space_group_name_H-M 'A m m 2'
_symmetry_Int_Tables_number 38
_cell_length_a 4.5857
_cell_length_b 4.6185
_cell_length_c 17.2900
_cell_angle_alpha 90.00
_cell_angle_beta 90.00
_cell_angle_gamma 90.00
loop_
_symmetry_equiv_pos_as_xyz
'x,y,z'
'-x,-y,z'
'-x,y,z'
'x,-y,z'
'x,y+1/2,z+1/2'
'-x,-y+1/2,z+1/2'
'-x,y+1/2,z+1/2'
'x,-y+1/2,z+1/2'
loop_
_atom_site_label
_atom_site_type_symbol
_atom_site_fract_x
_atom_site_fract_y
_atom_site_fract_z
La1 La 0.0000 0.0000 0.0000
La2 La 0.5000 0.0000 0.2079
Co1 Co 0.0000 0.0000 0.7970
Sn1 Sn 0.0000 0.0000 0.3609
Sn2 Sn 0.0000 0.0000 0.6523
Sn3 Sn 0.5000 0.0000 0.5386
Sn4 Sn 0.5000 0.0000 0.8594
```

***

Record 5
This entry pairs a crystal structure of NdSm12Y5 with its calculated X-ray diffraction stick pattern. Radiation: Cu Kα X-rays. Structure: DFT lattice parameters and positions (PBE).
Neutral-atom scattering factors, no anomalous dispersion.

Principal peaks in the range 2θ from 10° to 90°, by angle:
- 2θ 11.55, 7.664 Å, intensity 3, hkl 2 0 0
- 2θ 30.28, 2.952 Å, intensity 100, hkl 3 3 1
- 2θ 35.10, 2.556 Å, intensity 51, hkl 6 0 0
- 2θ 50.49, 1.808 Å, intensity 36, hkl 6 6 0
- 2θ 60.01, 1.542 Å, intensity 43, hkl 9 3 1
- 2θ 62.98, 1.476 Å, intensity 12, hkl 6 6 2
- 2θ 74.15, 1.279 Å, intensity 4, hkl 0 12 0
- 2θ 82.18, 1.173 Å, intensity 17, hkl 9 9 1
- 2θ 84.77, 1.144 Å, intensity 11, hkl 6 12 0
- 2θ 84.86, 1.143 Å, intensity 5, hkl 12 6 0

Cell and atoms:
```
data_NdSm12Y5
_symmetry_space_group_name_H-M 'C m m m'
_symmetry_Int_Tables_number 65
_symmetry_space_group_name_Hall '-C 2 2'
_cell_length_a 15.3265
_cell_length_b 15.3427
_cell_length_c 5.1155
_cell_angle_alpha 90.00
_cell_angle_beta 90.00
_cell_angle_gamma 90.00
loop_
_atom_site_label
_atom_site_type_symbol
_atom_site_fract_x
_atom_site_fract_y
_atom_site_fract_z
Nd1 Nd 0.0000 0.0000 0.0000
Sm1 Sm 0.1663 0.3335 0.5000
Sm2 Sm 0.1660 0.5000 0.0000
Sm3 Sm 0.1675 0.0000 0.5000
Sm4 Sm 0.1671 0.1669 0.0000
Y1 Y 0.0000 0.1672 0.5000
Y2 Y 0.0000 0.3333 0.0000
Y3 Y 0.0000 0.5000 0.5000
```

***

Record 6
This entry pairs a crystal structure of Ba2SrPrSe4 with its calculated X-ray diffraction stick pattern. Radiation: Cu Kα X-rays. Structure: DFT lattice parameters and positions (PBE).
Neutral-atom scattering factors, no anomalous dispersion.

Principal peaks in the range 2θ from 10° to 90°, by angle:
- 2θ 24.19, 3.679 Å, intensity 7, hkl 2 0 0
- 2θ 27.91, 3.197 Å, intensity 100, hkl 1 1 1
- 2θ 39.69, 2.271 Å, intensity 37, hkl 2 0 2
- 2θ 40.08, 2.250 Å, intensity 38, hkl 0 2 0
- 2θ 49.46, 1.843 Å, intensity 7, hkl 4 0 0
- 2θ 49.59, 1.838 Å, intensity 13, hkl 2 2 -2
- 2θ 57.68, 1.598 Å, intensity 12, hkl 2 2 2
- 2θ 64.97, 1.435 Å, intensity 11, hkl 3 1 3
- 2θ 65.51, 1.425 Å, intensity 11, hkl 4 2 0
- 2θ 72.62, 1.302 Å, intensity 8, hkl 1 3 -3

Cell and atoms:
```
data_Ba2SrPrSe4
_symmetry_space_group_name_H-M 'P 1 2/m 1'
_symmetry_Int_Tables_number 10
_cell_length_a 7.8039
_cell_length_b 4.4929
_cell_length_c 7.8908
_cell_angle_alpha 90.00
_cell_angle_beta 109.16
_cell_angle_gamma 90.00
loop_
_symmetry_equiv_pos_as_xyz
'x,y,z'
'-x,-y,-z'
'-x,y,-z'
'x,-y,z'
loop_
_atom_site_label
_atom_site_type_symbol
_atom_site_fract_x
_atom_site_fract_y
_atom_site_fract_z
Ba1 Ba 0.0000 0.0000 0.0000
Ba2 Ba 0.5000 0.5000 0.0000
Sr1 Sr 0.0000 0.5000 0.5000
Pr1 Pr 0.5000 0.0000 0.5000
Se1 Se 0.2500 0.0000 0.7290
Se2 Se 0.2636 0.5000 0.2737
```

***

Record 7
This entry pairs a crystal structure of Ce5ZnGa2 with its calculated X-ray diffraction stick pattern. Radiation: Cu Kα X-rays. Structure: DFT lattice parameters and positions (PBE).
Neutral-atom scattering factors, no anomalous dispersion.

Principal peaks in the range 2θ from 10° to 90°, by angle:
- 2θ 32.14, 2.785 Å, intensity 11, hkl 1 0 7
- 2θ 35.06, 2.560 Å, intensity 94, hkl 0 1 8
- 2θ 35.28, 2.544 Å, intensity 100, hkl 1 1 0
- 2θ 50.59, 1.804 Å, intensity 33, hkl 2 0 8
- 2θ 62.74, 1.481 Å, intensity 13, hkl 1 0 16
- 2θ 63.18, 1.472 Å, intensity 33, hkl 1 2 8
- 2θ 63.32, 1.469 Å, intensity 18, hkl 3 0 0
- 2θ 74.61, 1.272 Å, intensity 11, hkl 2 2 0
- 2θ 84.80, 1.143 Å, intensity 12, hkl 2 1 16
- 2θ 85.19, 1.139 Å, intensity 15, hkl 3 1 8

Cell and atoms:
```
data_Ce5ZnGa2
_symmetry_space_group_name_H-M 'R -3 m'
_symmetry_Int_Tables_number 166
_symmetry_space_group_name_Hall '-R 3 2"'
_cell_length_a 5.0879
_cell_length_b 5.0879
_cell_length_c 25.1585
_cell_angle_alpha 90.00
_cell_angle_beta 90.00
_cell_angle_gamma 120.00
loop_
_atom_site_label
_atom_site_type_symbol
_atom_site_fract_x
_atom_site_fract_y
_atom_site_fract_z
Ce1 Ce 0.0000 0.0000 0.0000
Ce2 Ce 0.0000 0.0000 0.1223
Ce3 Ce 0.0000 0.0000 0.2558
Zn1 Zn 0.0000 0.0000 0.5000
Ga1 Ga 0.0000 0.0000 0.3859
```

***

Record 8
This entry pairs a crystal structure of RbMnSi2Ag with its calculated X-ray diffraction stick pattern. Radiation: Cu Kα X-rays. Structure: DFT lattice parameters and positions (PBE).
Neutral-atom scattering factors, no anomalous dispersion.

Principal peaks in the range 2θ from 10° to 90°, by angle:
- 2θ 19.79, 4.487 Å, intensity 30, hkl 1 0 0
- 2θ 28.12, 3.173 Å, intensity 72, hkl 1 1 0
- 2θ 32.69, 2.740 Å, intensity 100, hkl 1 1 1
- 2θ 32.98, 2.716 Å, intensity 60, hkl 0 0 2
- 2θ 40.19, 2.244 Å, intensity 68, hkl 2 0 0
- 2θ 43.88, 2.063 Å, intensity 42, hkl 1 1 2
- 2θ 52.94, 1.730 Å, intensity 58, hkl 2 0 2
- 2θ 58.15, 1.586 Å, intensity 22, hkl 2 2 0
- 2θ 68.32, 1.373 Å, intensity 23, hkl 3 1 1
- 2θ 68.50, 1.370 Å, intensity 26, hkl 2 2 2

Cell and atoms:
```
data_RbMnSi2Ag
_symmetry_space_group_name_H-M 'P 4/m m m'
_symmetry_Int_Tables_number 123
_symmetry_space_group_name_Hall '-P 4 2'
_cell_length_a 4.4873
_cell_length_b 4.4873
_cell_length_c 5.4312
_cell_angle_alpha 90.00
_cell_angle_beta 90.00
_cell_angle_gamma 90.00
loop_
_atom_site_label
_atom_site_type_symbol
_atom_site_fract_x
_atom_site_fract_y
_atom_site_fract_z
Rb1 Rb 0.0000 0.0000 0.0000
Mn1 Mn 0.5000 0.5000 0.5000
Si1 Si 0.0000 0.5000 0.5000
Ag1 Ag 0.5000 0.5000 0.0000
```

***

Record 9
This entry pairs a crystal structure of Ce10Pb4C3 with its calculated X-ray diffraction stick pattern. Radiation: Cu Kα X-rays. Structure: DFT lattice parameters and positions (PBE).
Neutral-atom scattering factors, no anomalous dispersion.

Principal peaks in the range 2θ from 10° to 90°, by angle:
- 2θ 29.37, 3.041 Å, intensity 31, hkl 1 1 6
- 2θ 32.20, 2.780 Å, intensity 100, hkl 1 1 8
- 2θ 34.59, 2.593 Å, intensity 19, hkl 0 0 14
- 2θ 36.12, 2.487 Å, intensity 53, hkl 2 0 0
- 2θ 50.87, 1.795 Å, intensity 25, hkl 2 0 14
- 2θ 52.01, 1.758 Å, intensity 19, hkl 2 2 0
- 2θ 62.13, 1.494 Å, intensity 18, hkl 1 1 22
- 2θ 62.50, 1.486 Å, intensity 30, hkl 3 1 8
- 2θ 63.97, 1.455 Å, intensity 12, hkl 2 2 14
- 2θ 85.23, 1.139 Å, intensity 16, hkl 3 1 22

Cell and atoms:
```
data_Ce10Pb4C3
_symmetry_space_group_name_H-M 'I 4/m m m'
_symmetry_Int_Tables_number 139
_symmetry_space_group_name_Hall '-I 4 2'
_cell_length_a 4.9735
_cell_length_b 4.9735
_cell_length_c 36.3090
_cell_angle_alpha 90.00
_cell_angle_beta 90.00
_cell_angle_gamma 90.00
loop_
_atom_site_label
_atom_site_type_symbol
_atom_site_fract_x
_atom_site_fract_y
_atom_site_fract_z
Ce1 Ce 0.0000 0.0000 0.0689
Ce2 Ce 0.0000 0.0000 0.2092
Ce3 Ce 0.0000 0.5000 0.0000
Ce4 Ce 0.0000 0.5000 0.1355
Pb1 Pb 0.0000 0.0000 0.3007
Pb2 Pb 0.0000 0.0000 0.4324
C1 C 0.0000 0.0000 0.0000
C2 C 0.0000 0.0000 0.1424
```

***

Repeat the seventh record exactly.
This entry pairs a crystal structure of Ce5ZnGa2 with its calculated X-ray diffraction stick pattern. Radiation: Cu Kα X-rays. Structure: DFT lattice parameters and positions (PBE).
Neutral-atom scattering factors, no anomalous dispersion.

Principal peaks in the range 2θ from 10° to 90°, by angle:
- 2θ 32.14, 2.785 Å, intensity 11, hkl 1 0 7
- 2θ 35.06, 2.560 Å, intensity 94, hkl 0 1 8
- 2θ 35.28, 2.544 Å, intensity 100, hkl 1 1 0
- 2θ 50.59, 1.804 Å, intensity 33, hkl 2 0 8
- 2θ 62.74, 1.481 Å, intensity 13, hkl 1 0 16
- 2θ 63.18, 1.472 Å, intensity 33, hkl 1 2 8
- 2θ 63.32, 1.469 Å, intensity 18, hkl 3 0 0
- 2θ 74.61, 1.272 Å, intensity 11, hkl 2 2 0
- 2θ 84.80, 1.143 Å, intensity 12, hkl 2 1 16
- 2θ 85.19, 1.139 Å, intensity 15, hkl 3 1 8

Cell and atoms:
```
data_Ce5ZnGa2
_symmetry_space_group_name_H-M 'R -3 m'
_symmetry_Int_Tables_number 166
_symmetry_space_group_name_Hall '-R 3 2"'
_cell_length_a 5.0879
_cell_length_b 5.0879
_cell_length_c 25.1585
_cell_angle_alpha 90.00
_cell_angle_beta 90.00
_cell_angle_gamma 120.00
loop_
_atom_site_label
_atom_site_type_symbol
_atom_site_fract_x
_atom_site_fract_y
_atom_site_fract_z
Ce1 Ce 0.0000 0.0000 0.0000
Ce2 Ce 0.0000 0.0000 0.1223
Ce3 Ce 0.0000 0.0000 0.2558
Zn1 Zn 0.0000 0.0000 0.5000
Ga1 Ga 0.0000 0.0000 0.3859
```